# 1
Structure and simulated powder diffractogram of NdHo3Sc3 (the GGA-PBE geometry in Alexandria; λ = 1.5418 Å (Cu Kα)).

Largest 8 diffraction maxima, in order of rising 2θ, 10 to 90 degrees two-theta:
2θ = 23.73°, I = 92
2θ = 29.29°, I = 25
2θ = 29.53°, I = 35
2θ = 33.37°, I = 100
2θ = 34.23°, I = 67
2θ = 48.55°, I = 20
2θ = 51.78°, I = 20
2θ = 59.10°, I = 18

Crystal structure
```
data_NdHo3Sc3
_chemical_formula_sum 'Nd3 Ho9 Sc9'
_cell_length_a 10.4797
_cell_length_b 10.4797
_cell_length_c 6.6603
_cell_angle_alpha 90.00
_cell_angle_beta 90.00
_cell_angle_gamma 120.00
_space_group_name_H-M_alt 'R 3 m'
_space_group_IT_number 160
_space_group_name_Hall 'R 3 -2"'
loop_
_atom_site_label
_atom_site_type_symbol
_atom_site_fract_x
_atom_site_fract_y
_atom_site_fract_z
Nd1 Nd 0.0000 0.0000 0.0000
Ho1 Ho 0.0562 0.5281 0.0158
Sc1 Sc 0.0181 0.5091 0.4948
```

=====

# 2
Structure and simulated powder diffractogram of Nd5Ho5Sc (the GGA-PBE geometry in Alexandria; λ = 1.5418 Å (Cu Kα)).

Largest 8 diffraction maxima, in order of rising 2θ, 10 to 90 degrees two-theta:
2θ = 28.33°, I = 23
2θ = 30.09°, I = 93
2θ = 30.58°, I = 33
2θ = 33.42°, I = 100
2θ = 36.58°, I = 23
2θ = 43.45°, I = 25
2θ = 55.62°, I = 23
2θ = 61.46°, I = 17

Crystal structure
```
data_Nd5Ho5Sc
_chemical_formula_sum 'Nd10 Ho10 Sc2'
_cell_length_a 18.872
_cell_length_b 5.935
_cell_length_c 7.008
_cell_angle_alpha 90.00
_cell_angle_beta 111.67
_cell_angle_gamma 90.00
_space_group_name_H-M_alt 'C 1 2/m 1'
_space_group_IT_number 12
_space_group_name_Hall '-C 2y'
loop_
_atom_site_label
_atom_site_type_symbol
_atom_site_fract_x
_atom_site_fract_y
_atom_site_fract_z
Nd1 Nd 0.000 0.000 0.000
Nd2 Nd 0.174 0.500 0.417
Nd3 Nd 0.174 0.500 0.931
Ho1 Ho 0.000 0.500 0.500
Ho2 Ho 0.122 0.000 0.624
Ho3 Ho 0.170 0.000 0.171
Sc1 Sc 0.000 0.500 0.000
```

=====

# 3
Structure and simulated powder diffractogram of NdHo12Sc2 (the GGA-PBE geometry in Alexandria; λ = 1.5418 Å (Cu Kα)).

Largest 8 diffraction maxima, in order of rising 2θ, 10 to 90 degrees two-theta:
2θ = 21.30°, I = 49
2θ = 29.43°, I = 28
2θ = 30.51°, I = 27
2θ = 32.15°, I = 100
2θ = 33.78°, I = 57
2θ = 38.19°, I = 22
2θ = 38.73°, I = 33
2θ = 40.80°, I = 21

Crystal structure
```
data_NdHo12Sc2
_chemical_formula_sum 'Nd2 Ho24 Sc4'
_cell_length_a 6.256
_cell_length_b 6.256
_cell_length_c 25.076
_cell_angle_alpha 90.00
_cell_angle_beta 90.00
_cell_angle_gamma 90.00
_space_group_name_H-M_alt 'P 4/n b m'
_space_group_IT_number 125
loop_
_space_group_symop_operation_xyz
'x,y,z'
'-x,-y,-z'
'-y+1/2,x,z'
'y+1/2,-x,-z'
'-x+1/2,-y+1/2,z'
'x+1/2,y+1/2,-z'
'y,-x+1/2,z'
'-y,x+1/2,-z'
'x,-y+1/2,-z'
'-x,y+1/2,z'
'-y+1/2,-x+1/2,-z'
'y+1/2,x+1/2,z'
'-x+1/2,y,-z'
'x+1/2,-y,z'
'y,x,-z'
'-y,-x,z'
loop_
_atom_site_label
_atom_site_type_symbol
_atom_site_fract_x
_atom_site_fract_y
_atom_site_fract_z
Nd1 Nd 0.250 0.750 0.000
Ho1 Ho 0.067 0.567 0.118
Ho2 Ho 0.080 0.580 0.439
Ho3 Ho 0.250 0.250 0.218
Ho4 Ho 0.250 0.250 0.339
Sc1 Sc 0.250 0.750 0.276
```

=====

Please write out number 1 again, unchanged.
Structure and simulated powder diffractogram of NdHo3Sc3 (the GGA-PBE geometry in Alexandria; λ = 1.5418 Å (Cu Kα)).

Largest 8 diffraction maxima, in order of rising 2θ, 10 to 90 degrees two-theta:
2θ = 23.73°, I = 92
2θ = 29.29°, I = 25
2θ = 29.53°, I = 35
2θ = 33.37°, I = 100
2θ = 34.23°, I = 67
2θ = 48.55°, I = 20
2θ = 51.78°, I = 20
2θ = 59.10°, I = 18

Crystal structure
```
data_NdHo3Sc3
_chemical_formula_sum 'Nd3 Ho9 Sc9'
_cell_length_a 10.4797
_cell_length_b 10.4797
_cell_length_c 6.6603
_cell_angle_alpha 90.00
_cell_angle_beta 90.00
_cell_angle_gamma 120.00
_space_group_name_H-M_alt 'R 3 m'
_space_group_IT_number 160
_space_group_name_Hall 'R 3 -2"'
loop_
_atom_site_label
_atom_site_type_symbol
_atom_site_fract_x
_atom_site_fract_y
_atom_site_fract_z
Nd1 Nd 0.0000 0.0000 0.0000
Ho1 Ho 0.0562 0.5281 0.0158
Sc1 Sc 0.0181 0.5091 0.4948
```